# 1
Structure and computed PXRD pattern of Tb4Pr5Mg (a cell relaxed with PBE; copper Kα).
Lines closer than 0.1° are merged.

Peak list (10 most intense, 2θ = 5–70°, in order of falling intensity)
d [Å]  I/Imax
2.948  100
2.590  37
1.556  30
1.793  21
2.484  14
1.831  13
1.474  11
1.509  9
3.155  5
1.597  4

Atomic structure:
```
Tb4Pr5Mg
1.0
3.6628 0.0000 0.0000
0.0000 3.6628 0.0000
0.0000 0.0000 24.8388
Tb Pr Mg
4 5 1
Direct
0.0000 0.0000 0.1027
0.0000 0.0000 0.3081
0.0000 0.0000 0.6919
0.0000 0.0000 0.8973
0.5000 0.5000 0.0000
0.5000 0.5000 0.2050
0.5000 0.5000 0.4098
0.5000 0.5000 0.5902
0.5000 0.5000 0.7950
0.0000 0.0000 0.5000
```

# 2
Structure and computed PXRD pattern of Tb5PrMg4 (a cell relaxed with PBE; copper Kα).
Lines closer than 0.1° are merged.

Peak list (10 most intense, 2θ = 5–70°, in order of falling intensity)
d [Å]  I/Imax
2.765  100
2.658  56
3.758  37
1.554  35
1.879  20
4.082  16
2.227  13
3.026  13
1.664  12
1.619  10

Atomic structure:
```
Tb5PrMg4
1.0
3.7583 0.0000 0.0000
0.0000 3.7583 0.0000
0.0000 0.0000 20.4082
Tb Pr Mg
5 1 4
Direct
0.0000 0.0000 0.0000
0.0000 0.0000 0.1881
0.0000 0.0000 0.3776
0.0000 0.0000 0.6224
0.0000 0.0000 0.8119
0.5000 0.5000 0.5000
0.5000 0.5000 0.0945
0.5000 0.5000 0.2824
0.5000 0.5000 0.7176
0.5000 0.5000 0.9055
```

# 3
Structure and computed PXRD pattern of Tb3Pr6Mg (a cell relaxed with PBE; copper Kα).
Lines closer than 0.1° are merged.

Peak list (10 most intense, 2θ = 5–70°, in order of falling intensity)
d [Å]  I/Imax
2.881  100
2.989  70
2.821  68
3.219  56
3.069  48
2.616  44
2.733  41
2.958  34
1.880  21
1.602  19

Atomic structure:
```
Tb3Pr6Mg
1.0
4.8397 -7.4754 0.0000
4.8397 7.4754 0.0000
0.0000 0.0000 9.3660
Tb Pr Mg
6 12 2
Direct
0.0340 0.9660 0.5000
0.1780 0.4665 0.9828
0.4665 0.1780 0.4828
0.5335 0.8220 0.9828
0.8220 0.5335 0.4828
0.9660 0.0340 0.0000
0.0180 0.3309 0.6633
0.2024 0.7976 0.7758
0.2051 0.3584 0.3260
0.3309 0.0180 0.1633
0.3584 0.2051 0.8260
0.4393 0.5607 0.6440
0.5607 0.4393 0.1440
0.6416 0.7949 0.3260
0.6691 0.9820 0.6633
0.7949 0.6416 0.8260
0.7976 0.2024 0.2758
0.9820 0.6691 0.1633
0.2558 0.7442 0.4322
0.7442 0.2558 0.9322
```